[1]
# MgTiO
Calculated X-ray powder pattern, Cu Kα, 1.54184 Å. Input: a cell relaxed with GGA-PBE.
Lines closer than 0.1° are merged.

Crystal structure
```
9
Lattice="2.922 0.000 0.000 -1.461 2.531 0.000 0.000 0.000 15.558" Properties=species:S:1:pos:R:3 pbc="T T T"
Mg 0.000 0.000 0.000
Mg 0.000 1.687 10.372
Mg 1.461 0.844 5.186
Ti 0.000 0.000 7.716
Ti 0.000 1.687 2.530
Ti 1.461 0.844 12.902
O 0.000 0.000 3.944
O 0.000 1.687 14.315
O 1.461 0.844 9.130
```

Peak list (8 most intense, 2θ = 5–70°, by angle)
2θ 17.10, I = 31; 2θ 34.59, I = 25; 2θ 35.95, I = 17; 2θ 37.37, I = 61; 2θ 42.62, I = 100; 2θ 46.24, I = 9; 2θ 59.99, I = 32; 2θ 63.69, I = 26

---

[2]
# PaTl4Te4
Calculated X-ray powder pattern, Cu Kα, 1.54184 Å. Input: a cell relaxed with GGA-PBE.
Lines closer than 0.1° are merged.

Crystal structure
```
9
Lattice="-4.190 4.190 5.842 4.190 -4.190 5.842 4.190 4.190 -5.842" Properties=species:S:1:pos:R:3 pbc="T T T"
Pa 0.000 0.000 0.000
Tl 4.190 0.000 0.000
Tl 0.000 0.000 4.015
Tl 0.000 4.190 0.000
Tl 0.000 0.000 7.668
Te 2.523 -2.523 4.095
Te 1.667 1.667 1.747
Te -2.523 2.523 4.095
Te 2.523 2.523 7.589
```

Peak list (8 most intense, 2θ = 5–70°, by angle)
2θ 21.21, I = 50; 2θ 21.36, I = 79; 2θ 25.22, I = 38; 2θ 26.17, I = 56; 2θ 30.17, I = 100; 2θ 33.18, I = 95; 2θ 39.71, I = 54; 2θ 48.61, I = 31

---

[3]
# Tm5ThBi6
Calculated X-ray powder pattern, Cu Kα, 1.54184 Å. Input: a cell relaxed with GGA-PBE.
Lines closer than 0.1° are merged.

Crystal structure
```
12
Lattice="3.863 -6.690 0.000 3.863 6.690 0.000 -2.584 0.000 7.289" Properties=species:S:1:pos:R:3 pbc="T T T"
Tm 0.000 0.000 0.000
Tm 2.571 4.441 3.644
Tm 3.863 2.181 0.000
Tm 3.863 -2.181 0.000
Tm 2.571 -4.441 3.644
Th 2.571 0.000 3.644
Bi 1.256 2.275 1.780
Bi -0.066 0.000 5.474
Bi 1.256 -2.275 1.780
Bi 3.886 2.275 5.508
Bi 5.208 0.000 1.815
Bi 3.886 -2.275 5.508
```

Peak list (6 most intense, 2θ = 5–70°, by angle)
2θ 24.44, I = 1; 2θ 28.29, I = 100; 2θ 40.44, I = 78; 2θ 50.08, I = 28; 2θ 58.52, I = 13; 2θ 66.25, I = 37